MgH6Cl2: calculated powder XRD pattern (Cu Kα (weighted mean of Kα1 and Kα2)), based on DFT lattice parameters and positions (PBE).

```
MgH6Cl2
1.0
6.183 -5.542 0.000
6.183 5.542 0.000
-0.057 0.000 3.774
Mg H Cl
1 6 2
direct
0.000 0.000 0.000
0.245 0.737 0.595
0.250 0.250 0.390
0.263 0.755 0.405
0.737 0.245 0.595
0.750 0.750 0.610
0.755 0.263 0.405
0.318 0.318 0.135
0.682 0.682 0.865
```

Largest 8 diffraction maxima, in order of rising 2θ, 2θ from 5° to 70°:
15.99 deg, I = 100
23.02 deg, I = 81
25.86 deg, I = 22
28.61 deg, I = 29
32.31 deg, I = 27
32.55 deg, I = 31
33.43 deg, I = 25
40.80 deg, I = 23


MgH6N2Cl2: calculated powder XRD pattern (Cu Kα (weighted mean of Kα1 and Kα2)), based on DFT lattice parameters and positions (PBE).

```
MgH6N2Cl2
1.0
4.237 -4.382 0.000
4.237 4.382 0.000
-0.225 0.000 3.742
Mg H N Cl
1 6 2 2
direct
0.000 0.000 0.000
0.205 0.392 0.202
0.278 0.333 0.799
0.402 0.219 0.135
0.608 0.795 0.798
0.667 0.722 0.201
0.781 0.598 0.865
0.251 0.264 0.038
0.736 0.749 0.962
0.201 0.799 0.500
0.796 0.204 0.500
```

Largest 8 diffraction maxima, in order of rising 2θ, 2θ from 5° to 70°:
14.55 deg, I = 98
21.01 deg, I = 42
29.35 deg, I = 41
30.94 deg, I = 25
31.44 deg, I = 100
33.39 deg, I = 21
40.21 deg, I = 26
42.76 deg, I = 23